Entry 1:
# Nb4Tl2CN
Simulated X-ray powder pattern, Cu Kα. Input: the GGA-PBE geometry in OQMD.
Kinematic intensities with the Lorentz-polarization factor, no thermal factor.

Most intense lines, 10° ≤ 2θ ≤ 90°, sorted by position:
2θ/deg  I (rel.)  index
31.8  222  1 0 0
37.1  1000  1 0 3
37.8  197  0 0 6
50.1  154  0 1 6
56.6  206  1 1 0
67.7  165  1 0 9
69.6  157  0 2 3
70.1  194  1 1 6

Structure:
```
data_Nb4Tl2CN
_chemical_formula_sum 'Nb4 Tl2 C1 N1'
_cell_length_a 3.2520
_cell_length_b 3.2520
_cell_length_c 14.2968
_cell_angle_alpha 90.00
_cell_angle_beta 90.00
_cell_angle_gamma 120.00
_space_group_name_H-M_alt 'P -3 m 1'
_space_group_IT_number 164
_space_group_name_Hall '-P 3 2"'
loop_
_atom_site_label
_atom_site_type_symbol
_atom_site_fract_x
_atom_site_fract_y
_atom_site_fract_z
Nb1 Nb 0.3333 0.6667 0.0807
Nb2 Nb 0.3333 0.6667 0.4223
Tl1 Tl 0.3333 0.6667 0.7485
C1 C 0.0000 0.0000 0.0000
N1 N 0.0000 0.0000 0.5000
```

Entry 2:
# Nb3TlCN
Simulated X-ray powder pattern, Cu Kα. Input: the GGA-PBE geometry in OQMD.
Kinematic intensities with the Lorentz-polarization factor, no thermal factor.

Most intense lines, 10° ≤ 2θ ≤ 90°, sorted by position:
2θ/deg  I (rel.)  index
32.6  165  1 0 0
36.2  254  0 0 8
37.4  1000  0 1 4
49.4  131  1 0 8
58.1  229  1 1 0
65.8  187  0 1 12
70.4  220  1 1 8
71.1  150  2 0 4

Structure:
```
data_Nb3TlCN
_chemical_formula_sum 'Nb6 Tl2 C2 N2'
_cell_length_a 3.1761
_cell_length_b 3.1761
_cell_length_c 19.8658
_cell_angle_alpha 90.00
_cell_angle_beta 90.00
_cell_angle_gamma 120.00
_space_group_name_H-M_alt 'P -3 m 1'
_space_group_IT_number 164
_space_group_name_Hall '-P 3 2"'
loop_
_atom_site_label
_atom_site_type_symbol
_atom_site_fract_x
_atom_site_fract_y
_atom_site_fract_z
Nb1 Nb 0.0000 0.0000 0.0000
Nb2 Nb 0.0000 0.0000 0.5000
Nb3 Nb 0.3333 0.6667 0.1243
Nb4 Nb 0.3333 0.6667 0.3734
Tl1 Tl 0.0000 0.0000 0.2487
C1 C 0.3333 0.6667 0.5670
N1 N 0.3333 0.6667 0.9364
```

Entry 3:
# NdC6N9
Simulated X-ray powder pattern, Cu Kα. Input: the GGA-PBE geometry in OQMD.
Kinematic intensities with the Lorentz-polarization factor, no thermal factor.

Most intense lines, 10° ≤ 2θ ≤ 90°, sorted by position:
2θ/deg  I (rel.)  index
15.9  273  0 2 0
16.4  1000  1 1 1
18.0  167  0 0 2
22.7  214  1 1 2
28.0  262  1 3 1
30.5  245  1 1 3
32.2  185  1 3 2
35.9  156  3 1 1

Structure:
```
data_NdC6N9
_chemical_formula_sum 'Nd4 C24 N36'
_cell_length_a 7.965
_cell_length_b 11.165
_cell_length_c 9.861
_cell_angle_alpha 90.00
_cell_angle_beta 90.00
_cell_angle_gamma 90.00
_space_group_name_H-M_alt 'C m c m'
_space_group_IT_number 63
_space_group_name_Hall '-C 2c 2'
loop_
_atom_site_label
_atom_site_type_symbol
_atom_site_fract_x
_atom_site_fract_y
_atom_site_fract_z
Nd1 Nd 0.000 0.212 0.250
C1 C 0.142 0.087 0.750
C2 C 0.143 0.358 0.549
N1 N 0.000 0.030 0.750
N2 N 0.000 0.342 0.012
N3 N 0.221 0.131 0.094
N4 N 0.224 0.368 0.250
```

Entry 4:
# NiC4N6
Simulated X-ray powder pattern, Cu Kα. Input: the GGA-PBE geometry in OQMD.
Kinematic intensities with the Lorentz-polarization factor, no thermal factor.

Most intense lines, 10° ≤ 2θ ≤ 90°, sorted by position:
2θ/deg  I (rel.)  index
17.8  620  0 1 1
19.7  1000  1 0 1
20.4  673  1 1 0
23.7  247  1 1 1
30.7  464  1 2 0
31.8  246  1 1 2
36.4  264  2 1 1
40.0  309  2 0 2

Structure:
```
data_NiC4N6
_chemical_formula_sum 'Ni2 C8 N12'
_cell_length_a 5.686
_cell_length_b 6.795
_cell_length_c 7.374
_cell_angle_alpha 90.00
_cell_angle_beta 90.00
_cell_angle_gamma 90.00
_space_group_name_H-M_alt 'P n n m'
_space_group_IT_number 58
_space_group_name_Hall '-P 2 2n'
loop_
_atom_site_label
_atom_site_type_symbol
_atom_site_fract_x
_atom_site_fract_y
_atom_site_fract_z
Ni1 Ni 0.000 0.000 0.000
C1 C 0.241 0.348 0.155
N1 N 0.173 0.276 0.000
N2 N 0.212 0.903 0.198
```

Entry 5:
# Sc3NiCN
Simulated X-ray powder pattern, Cu Kα. Input: the GGA-PBE geometry in OQMD.
Kinematic intensities with the Lorentz-polarization factor, no thermal factor.

Most intense lines, 10° ≤ 2θ ≤ 90°, sorted by position:
2θ/deg  I (rel.)  index
32.2  166  0 1 1
37.6  1000  1 0 4
39.8  135  0 0 8
40.6  265  1 0 5
51.8  112  1 0 8
56.6  278  1 1 0
70.0  136  2 0 4
71.4  128  1 1 8

Structure:
```
data_Sc3NiCN
_chemical_formula_sum 'Sc6 Ni2 C2 N2'
_cell_length_a 3.2501
_cell_length_b 3.2501
_cell_length_c 18.1249
_cell_angle_alpha 90.00
_cell_angle_beta 90.00
_cell_angle_gamma 120.00
_space_group_name_H-M_alt 'P -3 m 1'
_space_group_IT_number 164
_space_group_name_Hall '-P 3 2"'
loop_
_atom_site_label
_atom_site_type_symbol
_atom_site_fract_x
_atom_site_fract_y
_atom_site_fract_z
Sc1 Sc 0.0000 0.0000 0.0000
Sc2 Sc 0.0000 0.0000 0.5000
Sc3 Sc 0.3333 0.6667 0.1395
Sc4 Sc 0.3333 0.6667 0.3575
Ni1 Ni 0.0000 0.0000 0.2438
C1 C 0.3333 0.6667 0.5792
N1 N 0.3333 0.6667 0.9272
```

Entry 6:
# Sc8Ni2C3N3
Simulated X-ray powder pattern, Cu Kα. Input: the GGA-PBE geometry in OQMD.
Kinematic intensities with the Lorentz-polarization factor, no thermal factor.

Most intense lines, 10° ≤ 2θ ≤ 90°, sorted by position:
2θ/deg  I (rel.)  index
32.2  336  1 0 1
35.5  218  1 0 4
37.3  922  0 1 5
38.1  197  0 0 10
39.5  1000  1 0 6
53.8  207  0 1 11
56.9  456  1 1 0
70.6  174  1 1 10

Structure:
```
data_Sc8Ni2C3N3
_chemical_formula_sum 'Sc8 Ni2 C3 N3'
_cell_length_a 3.2350
_cell_length_b 3.2350
_cell_length_c 23.6010
_cell_angle_alpha 90.00
_cell_angle_beta 90.00
_cell_angle_gamma 120.00
_space_group_name_H-M_alt 'P -3 m 1'
_space_group_IT_number 164
_space_group_name_Hall '-P 3 2"'
loop_
_atom_site_label
_atom_site_type_symbol
_atom_site_fract_x
_atom_site_fract_y
_atom_site_fract_z
Sc1 Sc 0.0000 0.0000 0.1620
Sc2 Sc 0.0000 0.0000 0.3312
Sc3 Sc 0.3333 0.6667 0.5589
Sc4 Sc 0.3333 0.6667 0.9462
Ni1 Ni 0.3333 0.6667 0.7571
C1 C 0.0000 0.0000 0.5000
C2 C 0.3333 0.6667 0.3793
N1 N 0.0000 0.0000 0.0000
N2 N 0.3333 0.6667 0.1115
```

Entry 7:
# Ta8Ni2C3N3
Simulated X-ray powder pattern, Cu Kα. Input: the GGA-PBE geometry in OQMD.
Kinematic intensities with the Lorentz-polarization factor, no thermal factor.

Most intense lines, 10° ≤ 2θ ≤ 90°, sorted by position:
2θ/deg  I (rel.)  index
34.0  427  0 1 2
35.1  234  1 0 3
36.7  257  1 0 4
38.6  596  0 1 5
39.0  230  0 0 10
40.8  1000  1 0 6
59.1  425  1 1 0
73.1  225  1 1 10

Structure:
```
data_Ta8Ni2C3N3
_chemical_formula_sum 'Ta8 Ni2 C3 N3'
_cell_length_a 3.1260
_cell_length_b 3.1260
_cell_length_c 23.0746
_cell_angle_alpha 90.00
_cell_angle_beta 90.00
_cell_angle_gamma 120.00
_space_group_name_H-M_alt 'P -3 m 1'
_space_group_IT_number 164
_space_group_name_Hall '-P 3 2"'
loop_
_atom_site_label
_atom_site_type_symbol
_atom_site_fract_x
_atom_site_fract_y
_atom_site_fract_z
Ta1 Ta 0.0000 0.0000 0.1628
Ta2 Ta 0.0000 0.0000 0.3337
Ta3 Ta 0.3333 0.6667 0.5578
Ta4 Ta 0.3333 0.6667 0.9412
Ni1 Ni 0.3333 0.6667 0.7536
C1 C 0.0000 0.0000 0.5000
C2 C 0.3333 0.6667 0.3860
N1 N 0.0000 0.0000 0.0000
N2 N 0.3333 0.6667 0.1125
```

Entry 8:
# Tb2YNi2C2N3
Simulated X-ray powder pattern, Cu Kα. Input: the GGA-PBE geometry in OQMD.
Kinematic intensities with the Lorentz-polarization factor, no thermal factor.

Most intense lines, 10° ≤ 2θ ≤ 90°, sorted by position:
2θ/deg  I (rel.)  index
29.1  1000  1 0 3
34.5  767  1 0 5
36.6  438  1 1 0
36.7  592  0 0 8
37.8  335  1 1 2
41.1  752  1 1 4
52.8  695  2 0 0
66.0  405  2 0 8

Structure:
```
data_Tb2YNi2C2N3
_chemical_formula_sum 'Tb4 Y2 Ni4 C4 N6'
_cell_length_a 3.471
_cell_length_b 3.471
_cell_length_c 19.581
_cell_angle_alpha 90.00
_cell_angle_beta 90.00
_cell_angle_gamma 90.00
_space_group_name_H-M_alt 'I 4/m m m'
_space_group_IT_number 139
_space_group_name_Hall '-I 4 2'
loop_
_atom_site_label
_atom_site_type_symbol
_atom_site_fract_x
_atom_site_fract_y
_atom_site_fract_z
Tb1 Tb 0.000 0.000 0.126
Y1 Y 0.000 0.000 0.500
Ni1 Ni 0.000 0.500 0.250
C1 C 0.000 0.000 0.309
N1 N 0.000 0.000 0.000
N2 N 0.000 0.000 0.381
```